[1]
For Cu3Ag7, a PBE-relaxed structure gives the calculated powder diffractogram in this record (Cu Kα (weighted mean of Kα1 and Kα2)).
Intensities are scaled so that the largest is 100.

Peak list (12 most intense, 2θ from 15° to 90°, sorted by position)
29.52 deg, d 3.026, rel. 2
33.38 deg, d 2.684, rel. 2
34.61 deg, d 2.591, rel. 3
38.92 deg, d 2.314, rel. 100
44.58 deg, d 2.032, rel. 34
46.55 deg, d 1.951, rel. 14
64.89 deg, d 1.437, rel. 10
66.42 deg, d 1.407, rel. 17
78.32 deg, d 1.221, rel. 23
81.17 deg, d 1.185, rel. 8
83.52 deg, d 1.158, rel. 4
83.59 deg, d 1.157, rel. 5

Cell and atoms:
a = 7.5845 Å, b = 7.5845 Å, c = 7.8043 Å
α = 104.85°, β = 104.85°, γ = 21.83°
Element x y z (fractional)
Cu1 0.0000 0.0000 0.0000
Cu2 0.1841 0.1841 0.0935
Cu3 0.5911 0.5911 0.8288
Ag1 0.1884 0.1884 0.6127
Ag2 0.3943 0.3943 0.7247
Ag3 0.3988 0.3988 0.1998
Ag4 0.5933 0.5933 0.2898
Ag5 0.7843 0.7843 0.9177
Ag6 0.7904 0.7904 0.3950
Ag7 0.9954 0.9954 0.5212

[2]
For Cu3Ag5, a PBE-relaxed structure gives the calculated powder diffractogram in this record (Cu Kα (weighted mean of Kα1 and Kα2)).
Intensities are scaled so that the largest is 100.

Peak list (12 most intense, 2θ from 15° to 90°, sorted by position)
39.15 deg, d 2.301, rel. 100
39.36 deg, d 2.289, rel. 96
45.26 deg, d 2.003, rel. 32
45.83 deg, d 1.980, rel. 61
66.38 deg, d 1.408, rel. 38
66.54 deg, d 1.405, rel. 10
79.44 deg, d 1.206, rel. 11
79.57 deg, d 1.205, rel. 11
80.14 deg, d 1.198, rel. 22
80.53 deg, d 1.193, rel. 20
84.15 deg, d 1.150, rel. 10
84.67 deg, d 1.145, rel. 9

Cell and atoms:
a = 6.8689 Å, b = 6.2470 Å, c = 4.8944 Å
α = 75.03°, β = 61.47°, γ = 43.50°
Element x y z (fractional)
Cu1 0.0000 0.0000 0.0000
Cu2 0.6285 0.6285 0.8715
Cu3 0.8715 0.8715 0.6285
Ag1 0.1163 0.1163 0.3837
Ag2 0.2437 0.2437 0.7563
Ag3 0.3837 0.3837 0.1163
Ag4 0.5000 0.5000 0.5000
Ag5 0.7563 0.7563 0.2437

[3]
For Cu3Ag7, a PBE-relaxed structure gives the calculated powder diffractogram in this record (Cu Kα (weighted mean of Kα1 and Kα2)).
Intensities are scaled so that the largest is 100.

Peak list (12 most intense, 2θ from 15° to 90°, sorted by position)
36.30 deg, d 2.475, rel. 44
38.97 deg, d 2.311, rel. 100
41.93 deg, d 2.155, rel. 19
42.04 deg, d 2.149, rel. 11
44.52 deg, d 2.035, rel. 52
62.81 deg, d 1.480, rel. 22
64.78 deg, d 1.439, rel. 16
71.20 deg, d 1.324, rel. 6
76.29 deg, d 1.248, rel. 11
76.59 deg, d 1.244, rel. 9
78.26 deg, d 1.222, rel. 24
80.23 deg, d 1.197, rel. 14

Cell and atoms:
a = 2.8782 Å, b = 2.8782 Å, c = 19.3912 Å
α = 90.00°, β = 90.00°, γ = 90.00°
Element x y z (fractional)
Cu1 0.0000 0.0000 0.0000
Cu2 0.5000 0.5000 0.0750
Cu3 0.5000 0.5000 0.9250
Ag1 0.0000 0.0000 0.1689
Ag2 0.0000 0.0000 0.3895
Ag3 0.0000 0.0000 0.6105
Ag4 0.0000 0.0000 0.8311
Ag5 0.5000 0.5000 0.2793
Ag6 0.5000 0.5000 0.5000
Ag7 0.5000 0.5000 0.7207

[4]
For Cu3Ag7, a PBE-relaxed structure gives the calculated powder diffractogram in this record (Cu Kα (weighted mean of Kα1 and Kα2)).
Intensities are scaled so that the largest is 100.

Peak list (12 most intense, 2θ from 15° to 90°, sorted by position)
38.80 deg, d 2.321, rel. 99
39.06 deg, d 2.306, rel. 100
44.02 deg, d 2.057, rel. 76
47.68 deg, d 1.907, rel. 21
63.66 deg, d 1.462, rel. 11
64.36 deg, d 1.447, rel. 11
66.84 deg, d 1.400, rel. 16
66.96 deg, d 1.398, rel. 12
77.22 deg, d 1.235, rel. 13
77.34 deg, d 1.234, rel. 10
77.76 deg, d 1.228, rel. 24
83.91 deg, d 1.153, rel. 8

Cell and atoms:
a = 4.9926 Å, b = 4.9926 Å, c = 11.8187 Å
α = 98.68°, β = 98.68°, γ = 33.71°
Element x y z (fractional)
Cu1 0.0000 0.0000 0.0000
Cu2 0.1092 0.1092 0.7119
Cu3 0.7737 0.7737 0.6181
Ag1 0.1857 0.1857 0.4232
Ag2 0.3099 0.3099 0.1021
Ag3 0.4055 0.4055 0.7984
Ag4 0.4779 0.4779 0.5350
Ag5 0.5995 0.5995 0.2011
Ag6 0.6960 0.6960 0.9032
Ag7 0.8944 0.8944 0.3163

[5]
For Cu4Ag5, a PBE-relaxed structure gives the calculated powder diffractogram in this record (Cu Kα (weighted mean of Kα1 and Kα2)).
Intensities are scaled so that the largest is 100.

Peak list (12 most intense, 2θ from 15° to 90°, sorted by position)
39.57 deg, d 2.277, rel. 100
39.71 deg, d 2.270, rel. 100
45.86 deg, d 1.979, rel. 32
46.04 deg, d 1.971, rel. 32
46.40 deg, d 1.957, rel. 31
67.26 deg, d 1.392, rel. 29
67.44 deg, d 1.389, rel. 19
80.49 deg, d 1.193, rel. 11
80.76 deg, d 1.190, rel. 22
81.03 deg, d 1.187, rel. 11
81.42 deg, d 1.182, rel. 22
85.23 deg, d 1.139, rel. 10

Cell and atoms:
a = 4.8431 Å, b = 4.8431 Å, c = 8.3581 Å
α = 106.91°, β = 106.91°, γ = 47.66°
Element x y z (fractional)
Cu1 0.1663 0.1663 0.0557
Cu2 0.1700 0.1700 0.3911
Cu3 0.8300 0.8300 0.6089
Cu4 0.8337 0.8337 0.9443
Ag1 0.1753 0.1753 0.7249
Ag2 0.4951 0.4951 0.1616
Ag3 0.5000 0.5000 0.5000
Ag4 0.5049 0.5049 0.8384
Ag5 0.8247 0.8247 0.2751

[6]
For Cu5Ag3, a PBE-relaxed structure gives the calculated powder diffractogram in this record (Cu Kα (weighted mean of Kα1 and Kα2)).
Intensities are scaled so that the largest is 100.

Peak list (12 most intense, 2θ from 15° to 90°, sorted by position)
34.64 deg, d 2.590, rel. 8
36.49 deg, d 2.462, rel. 5
40.76 deg, d 2.214, rel. 100
46.44 deg, d 1.955, rel. 36
49.34 deg, d 1.847, rel. 12
60.46 deg, d 1.531, rel. 4
67.78 deg, d 1.383, rel. 11
70.09 deg, d 1.343, rel. 15
72.54 deg, d 1.303, rel. 4
82.21 deg, d 1.173, rel. 23
86.54 deg, d 1.125, rel. 6
88.30 deg, d 1.107, rel. 8

Cell and atoms:
a = 3.9105 Å, b = 3.9105 Å, c = 7.3873 Å
α = 90.00°, β = 90.00°, γ = 90.00°
Element x y z (fractional)
Cu1 0.0000 0.0000 0.0000
Cu2 0.0000 0.0000 0.4482
Cu3 0.0000 0.5000 0.2349
Cu4 0.5000 0.0000 0.2349
Cu5 0.5000 0.5000 0.4493
Ag1 0.0000 0.5000 0.7093
Ag2 0.5000 0.0000 0.7093
Ag3 0.5000 0.5000 0.9919

- Which formula does entry 6 have?
  Cu5Ag3

- Which formula does entry 5 have?
  Cu4Ag5